(1)
Structure and calculated XRD peak list of Sr3Al2O6 (the PBE geometry in Alexandria; Cu Kα, 1.54184 Å).
Neutral-atom scattering factors, no anomalous dispersion.

Structural model:
a = 3.7868 Å, b = 3.7868 Å, c = 20.3586 Å
α = 90.00°, β = 90.00°, γ = 90.00°
Space group I4/mmm (No. 139)
Inequivalent atoms, fractional coordinates:
1 Sr 0.0000 0.0000 0.0000
2 Sr 0.0000 0.0000 0.1826
3 Al 0.0000 0.0000 0.3957
4 O 0.0000 0.0000 0.3068
5 O 0.0000 0.5000 0.0858

Most intense lines, 2θ = 15–90°, in order of rising 2θ:
two_theta, I/Imax
23.9, 345
32.3, 1000
33.5, 547
43.0, 501
48.1, 397
59.1, 363

(2)
Structure and calculated XRD peak list of Sr12Al14O33 (the PBE geometry in Alexandria; Cu Kα, 1.54184 Å).
Neutral-atom scattering factors, no anomalous dispersion.

Structural model:
a = 12.4627 Å, b = 12.4627 Å, c = 12.3770 Å
α = 90.00°, β = 90.00°, γ = 90.00°
Space group I-4 (No. 82)
Inequivalent atoms, fractional coordinates:
1 Sr 0.0000 0.0000 0.1843
2 Sr 0.0000 0.5000 0.5189
3 Sr 0.1062 0.7566 0.3809
4 Sr 0.1388 0.2422 0.8781
5 Al 0.0000 0.0000 0.5000
6 Al 0.0000 0.5000 0.2500
7 Al 0.0134 0.2335 0.6438
8 Al 0.0180 0.2697 0.1104
9 Al 0.1267 0.7489 0.8760
10 O 0.0000 0.0000 0.0000
11 O 0.0366 0.7955 0.7761
12 O 0.0406 0.7019 0.9806
13 O 0.0431 0.1092 0.5806
14 O 0.0502 0.4014 0.1600
15 O 0.0646 0.8044 0.1951
16 O 0.0690 0.6823 0.5673
17 O 0.1445 0.2883 0.6716
18 O 0.1508 0.2193 0.0831

Most intense lines, 2θ = 15–90°, in order of rising 2θ:
two_theta, I/Imax
17.5, 1000
26.8, 336
32.1, 954
32.3, 284
35.3, 265
39.6, 271

(3)
Structure and calculated XRD peak list of SrAlTc2O8 (the PBE geometry in Alexandria; Cu Kα, 1.54184 Å).
Neutral-atom scattering factors, no anomalous dispersion.

Structural model:
a = 5.6237 Å, b = 5.6237 Å, c = 6.7444 Å
α = 90.00°, β = 90.00°, γ = 120.00°
Space group P-3m1 (No. 164)
Inequivalent atoms, fractional coordinates:
1 Sr 0.0000 0.0000 0.0000
2 Al 0.0000 0.0000 0.5000
3 Tc 0.3333 0.6667 0.7466
4 O 0.1525 0.3049 0.6755
5 O 0.3333 0.6667 0.0100

Most intense lines, 2θ = 15–90°, in order of rising 2θ:
two_theta, I/Imax
22.5, 1000
31.8, 536
32.3, 347
46.0, 201
51.5, 232
57.0, 167

(4)
Structure and calculated XRD peak list of SrAlTe2O8 (the PBE geometry in Alexandria; Cu Kα, 1.54184 Å).
Neutral-atom scattering factors, no anomalous dispersion.

Structural model:
a = 6.4931 Å, b = 7.2979 Å, c = 6.6159 Å
α = 90.00°, β = 90.00°, γ = 90.00°
Space group Cmmm (No. 65)
Inequivalent atoms, fractional coordinates:
1 Sr 0.0000 0.0000 0.0000
2 Al 0.0000 0.0000 0.5000
3 Te 0.0000 0.5000 0.2642
4 O 0.0000 0.3114 0.5000
5 O 0.0000 0.3357 0.0000
6 O 0.2007 0.0000 0.2950

Most intense lines, 2θ = 15–90°, in order of rising 2θ:
two_theta, I/Imax
18.3, 441
24.4, 853
27.5, 581
32.8, 1000
48.5, 543
52.0, 381